Starting from a GGA-PBE-relaxed structure, the X-ray powder pattern of Mn6NiPt5 was simulated for Cu Kα X-rays.
Neutral-atom scattering factors, no anomalous dispersion.

Most intense lines, 2θ from 10° to 90°, by angle:
2θ = 25.9°, intensity 20.2; 2θ = 30.5°, intensity 26.8; 2θ = 40.4°, intensity 100.0; 2θ = 43.7°, intensity 40.0; 2θ = 51.5°, intensity 13.5; 2θ = 53.2°, intensity 11.4; 2θ = 62.6°, intensity 7.8; 2θ = 63.5°, intensity 12.9; 2θ = 71.2°, intensity 13.7; 2θ = 78.0°, intensity 28.3

abc: 7.4003 7.4003 4.1441
angles: 106.21 106.21 114.24
Fractional coordinates of all 12 atoms:
Mn 0.0814 0.4095 0.7455
Mn 0.2413 0.2413 0.2413
Mn 0.4095 0.0814 0.7455
Mn 0.5905 0.9186 0.2545
Mn 0.7587 0.7587 0.7587
Mn 0.9186 0.5905 0.2545
Ni 0.0000 0.0000 0.5000
Pt 0.1657 0.8343 0.0000
Pt 0.3341 0.6659 0.5000
Pt 0.5000 0.5000 0.0000
Pt 0.6659 0.3341 0.5000
Pt 0.8343 0.1657 0.0000